# Nd3MgCd2
Theoretical powder diffractogram, Cu Kα, 1.54184 Å. Input: the GGA-PBE geometry in Alexandria.
Neutral-atom scattering factors, no anomalous dispersion.

Atomic structure:
```
Nd3MgCd2
1.0
3.874 0.000 0.000
0.000 3.874 0.000
0.000 0.000 11.560
Nd Mg Cd
3 1 2
Direct
0.000 0.000 0.000 Nd
0.000 0.000 0.333 Nd
0.000 0.000 0.667 Nd
0.500 0.500 0.500 Mg
0.500 0.500 0.169 Cd
0.500 0.500 0.831 Cd
```

Main lines, sorted by position (2θ from 5° to 70°):
| h k l | d (Å) | 2theta | intensity |
| --- | --- | --- | --- |
| 0 0 1 | 11.560 | 7.6 | 7 |
| 1 0 0 | 3.874 | 23.0 | 5 |
| 1 1 0 | 2.734 | 32.8 | 100 |
| 2 0 0 | 1.937 | 46.9 | 12 |
| 0 0 6 | 1.927 | 47.2 | 6 |
| 2 1 3 | 1.580 | 58.4 | 25 |
| 1 1 6 | 1.576 | 58.6 | 12 |
| 2 0 6 | 1.366 | 68.7 | 8 |